1.
Diffraction record for LiYb2InGe2. The powder XRD pattern is theoretical, not measured: it uses a crystal structure in Alexandria, relaxed with GGA-PBE and λ = 1.5418 Å (Cu Kα).
No peak broadening, texture or thermal motion is included.

Most intense lines, 10 to 90 degrees two-theta, sorted by position:
d [Å]	I/Imax
6.596	26
3.298	27
2.797	66
2.784	48
2.747	42
2.667	100
2.491	60
2.448	29
2.207	50
1.679	18

Atomic structure:
a b c (Å): 7.1767 4.4145 16.7369
angles (deg): 90.00 90.00 90.00
Atoms (fractional coordinates):
Li1 0.0083 0.2500 0.0673
Li2 0.4917 0.7500 0.5673
Li3 0.5083 0.2500 0.4327
Li4 0.9917 0.7500 0.9327
Yb1 0.0174 0.2500 0.7798
Yb2 0.1570 0.2500 0.5623
Yb3 0.3430 0.7500 0.0623
Yb4 0.4826 0.7500 0.2798
Yb5 0.5174 0.2500 0.7202
Yb6 0.6570 0.2500 0.9377
Yb7 0.8430 0.7500 0.4377
Yb8 0.9826 0.7500 0.2202
In1 0.1537 0.2500 0.3490
In2 0.3463 0.7500 0.8490
In3 0.6537 0.2500 0.1510
In4 0.8463 0.7500 0.6510
Ge1 0.2271 0.2500 0.9391
Ge2 0.2337 0.7500 0.6852
Ge3 0.2663 0.2500 0.1852
Ge4 0.2729 0.7500 0.4391
Ge5 0.7271 0.2500 0.5609
Ge6 0.7337 0.7500 0.8148
Ge7 0.7663 0.2500 0.3148
Ge8 0.7729 0.7500 0.0609

***

2.
Diffraction record for MgIn2GeN4. The powder XRD pattern is theoretical, not measured: it uses a crystal structure in Alexandria, relaxed with GGA-PBE and λ = 1.5418 Å (Cu Kα).
No peak broadening, texture or thermal motion is included.

Most intense lines, 10 to 90 degrees two-theta, sorted by position:
d [Å]	I/Imax
4.702	12
3.452	13
2.783	100
2.441	24
2.351	11
1.726	14
1.693	27
1.467	26
1.427	12
1.100	11

Atomic structure:
a b c (Å): 5.8334 5.8334 5.8334
angles (deg): 130.52 130.52 72.57
Atoms (fractional coordinates):
Mg1 0.0000 0.0000 0.0000
In1 0.2500 0.7500 0.5000
In2 0.7500 0.2500 0.5000
Ge1 0.5000 0.5000 0.0000
N1 0.1592 0.1592 0.5400
N2 0.3808 0.8408 0.0000
N3 0.6192 0.6192 0.4600
N4 0.8408 0.3808 0.0000

***

3.
Diffraction record for Mg2InGe2Rh5. The powder XRD pattern is theoretical, not measured: it uses a crystal structure in Alexandria, relaxed with GGA-PBE and λ = 1.5418 Å (Cu Kα).
No peak broadening, texture or thermal motion is included.

Most intense lines, 10 to 90 degrees two-theta, sorted by position:
d [Å]	I/Imax
4.827	15
4.318	44
2.444	18
2.342	25
2.301	100
2.159	24
2.127	41
1.946	18
1.751	19
1.272	16

Atomic structure:
a b c (Å): 9.6549 9.6549 3.5013
angles (deg): 90.00 90.00 90.00
Atoms (fractional coordinates):
Mg1 0.1713 0.3287 0.0000
Mg2 0.3287 0.8287 0.0000
Mg3 0.6713 0.1713 0.0000
Mg4 0.8287 0.6713 0.0000
In1 0.0000 0.0000 0.0000
In2 0.5000 0.5000 0.0000
Ge1 0.1284 0.6284 0.0000
Ge2 0.3716 0.1284 0.0000
Ge3 0.6284 0.8716 0.0000
Ge4 0.8716 0.3716 0.0000
Rh1 0.0000 0.5000 0.5000
Rh2 0.0732 0.7933 0.5000
Rh3 0.2067 0.0732 0.5000
Rh4 0.2933 0.5732 0.5000
Rh5 0.4268 0.2933 0.5000
Rh6 0.5000 0.0000 0.5000
Rh7 0.5732 0.7067 0.5000
Rh8 0.7067 0.4268 0.5000
Rh9 0.7933 0.9268 0.5000
Rh10 0.9268 0.2067 0.5000

***

4.
Diffraction record for MgInGe2S6. The powder XRD pattern is theoretical, not measured: it uses a crystal structure in Alexandria, relaxed with GGA-PBE and λ = 1.5418 Å (Cu Kα).
No peak broadening, texture or thermal motion is included.

Most intense lines, 10 to 90 degrees two-theta, sorted by position:
d [Å]	I/Imax
4.047	44
3.830	69
3.768	73
3.221	100
3.129	58
2.870	49
2.658	31
2.538	62
2.099	37
1.776	47

Atomic structure:
a b c (Å): 8.3697 8.3697 6.8127
angles (deg): 104.14 104.14 82.59
Atoms (fractional coordinates):
Mg1 0.1040 0.8960 0.7500
Mg2 0.8960 0.1040 0.2500
In1 0.2895 0.7105 0.2500
In2 0.7105 0.2895 0.7500
Ge1 0.2031 0.3825 0.7467
Ge2 0.3825 0.2031 0.2467
Ge3 0.6175 0.7969 0.7533
Ge4 0.7969 0.6175 0.2533
S1 0.0226 0.1900 0.6413
S2 0.0851 0.6275 0.8639
S3 0.1900 0.0226 0.1413
S4 0.3283 0.4267 0.5052
S5 0.3725 0.9149 0.6361
S6 0.4267 0.3283 0.0052
S7 0.5733 0.6717 0.9948
S8 0.6275 0.0851 0.3639
S9 0.6717 0.5733 0.4948
S10 0.8100 0.9774 0.8587
S11 0.9149 0.3725 0.1361
S12 0.9774 0.8100 0.3587

***

5.
Diffraction record for In2GeMo. The powder XRD pattern is theoretical, not measured: it uses a crystal structure in Alexandria, relaxed with GGA-PBE and λ = 1.5418 Å (Cu Kα).
No peak broadening, texture or thermal motion is included.

Most intense lines, 10 to 90 degrees two-theta, sorted by position:
d [Å]	I/Imax
2.812	100
2.477	72
1.989	36
1.859	59
1.551	16
1.406	11
1.358	21
1.303	18
1.258	16
1.223	15

Atomic structure:
a b c (Å): 6.2649 6.2649 6.2649
angles (deg): 101.19 101.19 127.74
Atoms (fractional coordinates):
In1 0.1255 0.6250 0.0005
In2 0.3750 0.3755 0.5005
In3 0.6245 0.1250 0.9995
In4 0.8750 0.8745 0.4995
Ge1 0.0000 0.0000 0.0000
Ge2 0.7500 0.2500 0.5000
Mo1 0.2500 0.7500 0.5000
Mo2 0.5000 0.5000 0.0000